Diffraction record for Ho2Re3Si5. The X-ray diffraction stick pattern is calculated, not measured: it uses a cell relaxed with PBE and Cu Kα X-rays.

Main lines, sorted by position (10° ≤ 2θ ≤ 90°):
2θ 25.6, I 100, (3 1 0); 2θ 29.2, I 40, (3 0 1); 2θ 30.4, I 86, (3 1 1); 2θ 34.4, I 43, (1 1 2); 2θ 36.6, I 56, (4 2 0); 2θ 37.5, I 91, (4 1 1); 2θ 40.0, I 56, (2 2 2); 2θ 44.4, I 41, (4 3 1)

Cell and atoms:
```
data_Ho2Re3Si5
_symmetry_space_group_name_H-M 'P 4/m n c'
_symmetry_Int_Tables_number 128
_symmetry_space_group_name_Hall '-P 4 2n'
_cell_length_a 10.989
_cell_length_b 10.989
_cell_length_c 5.531
_cell_angle_alpha 90.00
_cell_angle_beta 90.00
_cell_angle_gamma 90.00
loop_
_atom_site_label
_atom_site_type_symbol
_atom_site_fract_x
_atom_site_fract_y
_atom_site_fract_z
Ho1 Ho 0.077 0.239 0.000
Re1 Re 0.000 0.500 0.250
Re2 Re 0.125 0.854 0.500
Si1 Si 0.000 0.000 0.241
Si2 Si 0.026 0.315 0.500
Si3 Si 0.174 0.674 0.250
```

Diffraction record for MgTi2Zn2O6. The X-ray diffraction stick pattern is calculated, not measured: it uses a cell relaxed with PBE and Cu Kα X-rays.

Main lines, sorted by position (10° ≤ 2θ ≤ 90°):
2θ 30.2, I 53, (1 0 4); 2θ 34.7, I 99, (1 1 0); 2θ 34.8, I 100, (0 1 5); 2θ 38.8, I 19, (2 -1 3); 2θ 50.0, I 46, (2 0 5); 2θ 62.1, I 38, (3 0 0); 2θ 62.2, I 38, (1 2 5); 2θ 64.3, I 29, (2 -1 9)

Cell and atoms:
```
data_MgTi2Zn2O6
_symmetry_space_group_name_H-M 'R -3'
_symmetry_Int_Tables_number 148
_symmetry_space_group_name_Hall '-R 3'
_cell_length_a 5.1760
_cell_length_b 5.1760
_cell_length_c 15.7366
_cell_angle_alpha 90.00
_cell_angle_beta 90.00
_cell_angle_gamma 120.00
loop_
_atom_site_label
_atom_site_type_symbol
_atom_site_fract_x
_atom_site_fract_y
_atom_site_fract_z
Mg1 Mg 0.0000 0.0000 0.0000
Ti1 Ti 0.0000 0.0000 0.1766
Zn1 Zn 0.0000 0.0000 0.3896
O1 O 0.0105 0.6334 0.5787
```

Diffraction record for CsMgNbP2O8. The X-ray diffraction stick pattern is calculated, not measured: it uses a cell relaxed with PBE and Cu Kα X-rays.

Main lines, sorted by position (10° ≤ 2θ ≤ 90°):
2θ 19.4, I 59, (0 1 0); 2θ 19.6, I 54, (1 0 0); 2θ 20.2, I 100, (1 1 0); 2θ 20.5, I 65, (0 1 1); 2θ 24.9, I 55, (0 1 2); 2θ 25.0, I 51, (1 0 2); 2θ 33.6, I 51, (1 -1 0); 2θ 34.8, I 51, (1 2 0)

Cell and atoms:
```
data_CsMgNbP2O8
_symmetry_space_group_name_H-M 'P 1'
_symmetry_Int_Tables_number 1
_cell_length_a 5.173
_cell_length_b 5.229
_cell_length_c 10.387
_cell_angle_alpha 81.09
_cell_angle_beta 81.08
_cell_angle_gamma 61.64
loop_
_symmetry_equiv_pos_as_xyz
'x,y,z'
loop_
_atom_site_label
_atom_site_type_symbol
_atom_site_fract_x
_atom_site_fract_y
_atom_site_fract_z
Cs1 Cs 0.000 0.000 0.000
Mg1 Mg 0.204 0.166 0.339
Nb1 Nb 0.071 0.044 0.609
P1 P 0.468 0.437 0.404
P2 P 0.698 0.668 0.770
O1 O 0.307 0.290 0.500
O2 O 0.331 0.768 0.420
O3 O 0.362 0.851 0.746
O4 O 0.429 0.384 0.265
O5 O 0.733 0.683 0.910
O6 O 0.797 0.349 0.743
O7 O 0.802 0.290 0.426
O8 O 0.870 0.791 0.664
```

Diffraction record for Te4N5F21. The X-ray diffraction stick pattern is calculated, not measured: it uses a cell relaxed with PBE and Cu Kα X-rays.

Main lines, sorted by position (10° ≤ 2θ ≤ 90°):
2θ 15.6, I 38, (1 0 1); 2θ 17.4, I 90, (2 2 0); 2θ 18.9, I 21, (2 0 1); 2θ 19.9, I 100, (2 1 1); 2θ 23.4, I 91, (3 0 1); 2θ 24.7, I 26, (4 0 0); 2θ 36.5, I 34, (5 2 1); 2θ 39.4, I 21, (3 3 2)

Cell and atoms:
```
data_Te4N5F21
_symmetry_space_group_name_H-M 'P -4 21 c'
_symmetry_Int_Tables_number 114
_cell_length_a 14.446
_cell_length_b 14.446
_cell_length_c 6.184
_cell_angle_alpha 90.00
_cell_angle_beta 90.00
_cell_angle_gamma 90.00
loop_
_symmetry_equiv_pos_as_xyz
'x,y,z'
'y,-x,-z'
'-x,-y,z'
'-y,x,-z'
'x+1/2,-y+1/2,-z+1/2'
'y+1/2,x+1/2,z+1/2'
'-x+1/2,y+1/2,-z+1/2'
'-y+1/2,-x+1/2,z+1/2'
loop_
_atom_site_label
_atom_site_type_symbol
_atom_site_fract_x
_atom_site_fract_y
_atom_site_fract_z
Te1 Te 0.008 0.298 0.455
N1 N 0.000 0.000 0.000
N2 N 0.161 0.822 0.999
F1 F 0.000 0.000 0.500
F2 F 0.005 0.199 0.264
F3 F 0.018 0.616 0.219
F4 F 0.034 0.215 0.688
F5 F 0.123 0.714 0.504
F6 F 0.138 0.316 0.392
```

Diffraction record for Cs2ScAgCl6. The X-ray diffraction stick pattern is calculated, not measured: it uses a cell relaxed with PBE and Cu Kα X-rays.

Main lines, sorted by position (10° ≤ 2θ ≤ 90°):
2θ 23.7, I 100, (2 2 0); 2θ 29.2, I 34, (2 2 2); 2θ 33.8, I 66, (4 0 0); 2θ 41.7, I 44, (4 2 2); 2θ 48.6, I 44, (4 4 0); 2θ 54.8, I 21, (6 2 0); 2θ 65.9, I 24, (6 4 2); 2θ 81.1, I 18, (8 4 0)

Cell and atoms:
```
data_Cs2ScAgCl6
_symmetry_space_group_name_H-M 'F m -3 m'
_symmetry_Int_Tables_number 225
_symmetry_space_group_name_Hall '-F 4 2 3'
_cell_length_a 10.602
_cell_length_b 10.602
_cell_length_c 10.602
_cell_angle_alpha 90.00
_cell_angle_beta 90.00
_cell_angle_gamma 90.00
loop_
_atom_site_label
_atom_site_type_symbol
_atom_site_fract_x
_atom_site_fract_y
_atom_site_fract_z
Cs1 Cs 0.250 0.250 0.250
Sc1 Sc 0.000 0.000 0.000
Ag1 Ag 0.000 0.000 0.500
Cl1 Cl 0.000 0.000 0.237
```